Structure and computed powder XRD pattern of NaNb4Bi5O18 (a structure optimized by DFT (GGA-PBE); Cu Ka).
Kinematic intensities with the Lorentz-polarization factor, no thermal factor.

Structure:
```
data_NaNb4Bi5O18
_space_group_name_H-M_alt 'C 1 m 1'
_space_group_IT_number 8
_cell_length_a 5.557
_cell_length_b 25.360
_cell_length_c 5.645
_cell_angle_alpha 90.00
_cell_angle_beta 90.61
_cell_angle_gamma 90.00
loop_
_space_group_symop_operation_xyz
'x,y,z'
'x,-y,z'
'x+1/2,y+1/2,z'
'x+1/2,-y+1/2,z'
loop_
_atom_site_label
_atom_site_type_symbol
_atom_site_fract_x
_atom_site_fract_y
_atom_site_fract_z
_atom_site_occupancy
Na1 Na 0.000 0.000 0.000 1
Nb1 Nb 0.004 0.417 0.981 1
Nb2 Nb 0.010 0.082 0.474 1
Bi1 Bi 0.000 0.500 0.525 1
Bi2 Bi 0.049 0.300 0.564 1
Bi3 Bi 0.487 0.300 0.065 1
O1 O 0.100 0.000 0.420 1
O2 O 0.100 0.346 0.941 1
O3 O 0.220 0.091 0.155 1
O4 O 0.226 0.436 0.232 1
O5 O 0.253 0.249 0.282 1
O6 O 0.281 0.249 0.783 1
O7 O 0.301 0.438 0.724 1
O8 O 0.318 0.085 0.647 1
O9 O 0.435 0.345 0.454 1
O10 O 0.437 0.000 0.918 1
```

Principal peaks in the range 2θ from 5° to 70°, in order of rising 2θ:
hkl  2theta  Rel. int.
0 2 0  6.97  27
1 5 -1  28.50  100
1 5 1  28.70  96
0 0 2  31.70  33
2 0 0  32.22  34
0 10 0  35.40  22
2 0 -2  45.57  17
2 0 2  46.10  17
0 10 2  48.24  21
2 10 0  48.61  21

---

Structure and computed powder XRD pattern of ZrCd4Ag3 (a structure optimized by DFT (GGA-PBE); Cu Ka).
Kinematic intensities with the Lorentz-polarization factor, no thermal factor.

Structure:
```
data_ZrCd4Ag3
_space_group_name_H-M_alt 'P 4/m m m'
_space_group_IT_number 123
_space_group_name_Hall '-P 4 2'
_cell_length_a 4.467
_cell_length_b 4.467
_cell_length_c 8.082
_cell_angle_alpha 90.00
_cell_angle_beta 90.00
_cell_angle_gamma 90.00
loop_
_atom_site_label
_atom_site_type_symbol
_atom_site_fract_x
_atom_site_fract_y
_atom_site_fract_z
_atom_site_occupancy
Zr1 Zr 0.000 0.000 0.000 1
Cd1 Cd 0.000 0.500 0.258 1
Ag1 Ag 0.000 0.000 0.500 1
Ag2 Ag 0.500 0.500 0.000 1
Ag3 Ag 0.500 0.500 0.500 1
```

Principal peaks in the range 2θ from 5° to 70°, in order of rising 2θ:
hkl  2theta  Rel. int.
0 0 1  10.95  1
1 1 2  36.09  100
2 0 0  40.38  36
1 1 3  44.18  1
0 0 4  44.86  13
2 2 0  58.43  12
2 0 4  61.93  19

---

Structure and computed powder XRD pattern of La4Sm2Tl (a structure optimized by DFT (GGA-PBE); Cu Ka).
Kinematic intensities with the Lorentz-polarization factor, no thermal factor.

Structure:
```
data_La4Sm2Tl
_space_group_name_H-M_alt 'C 1 c 1'
_space_group_IT_number 9
_cell_length_a 6.584
_cell_length_b 12.067
_cell_length_c 12.432
_cell_angle_alpha 90.00
_cell_angle_beta 105.28
_cell_angle_gamma 90.00
loop_
_space_group_symop_operation_xyz
'x,y,z'
'x,-y,z+1/2'
'x+1/2,y+1/2,z'
'x+1/2,-y+1/2,z+1/2'
loop_
_atom_site_label
_atom_site_type_symbol
_atom_site_fract_x
_atom_site_fract_y
_atom_site_fract_z
_atom_site_occupancy
La1 La 0.000 0.054 0.000 1
La2 La 0.095 0.419 0.663 1
La3 La 0.156 0.166 0.286 1
La4 La 0.221 0.305 0.949 1
Sm1 Sm 0.308 0.180 0.579 1
Sm2 Sm 0.457 0.074 0.871 1
Tl1 Tl 0.459 0.374 0.225 1
```

Principal peaks in the range 2θ from 5° to 70°, in order of rising 2θ:
hkl  2theta  Rel. int.
1 1 3  30.33  100
0 4 1  30.56  36
2 2 -1  30.94  59
2 2 -2  31.85  31
1 3 2  32.06  41
1 3 -4  37.08  25
1 5 -3  44.21  10
3 1 2  49.92  16
0 2 7  55.76  18
2 0 -8  60.97  12

---

Question: Number 3 is which compound?
Answer: La4Sm2Tl